Starting from DFT lattice parameters and positions (PBE), the X-ray powder pattern of AlNi4 was calculated for a wavelength of 1.5418 Å.
Kinematic intensities with the Lorentz-polarization factor, no thermal factor.

Structure:
```
AlNi4
1.0
4.515 0.000 0.000
0.000 4.098 0.000
-2.905 0.000 6.101
Al Ni
2 8
Cartesian
0.000 0.000 0.000
-1.452 2.049 3.051
-0.245 0.004 2.440
-1.697 2.045 5.490
0.959 2.055 1.834
-0.494 4.093 4.884
2.104 0.005 1.217
0.651 2.044 4.268
3.307 2.053 0.611
1.855 4.095 3.661
```

The 10 most intense peaks (2θ from 5° to 70°), sorted by position:
two_theta	d (Å)	Rel. int.	index
21.8	4.076	4	1 0 0
26.2	3.402	4	0 1 1
28.0	3.186	2	1 0 -2
29.3	3.051	2	0 0 2
29.9	2.988	2	1 1 -1
38.3	2.350	2	1 1 1
44.1	2.055	29	1 0 2
44.2	2.049	28	0 2 0
46.1	1.969	100	1 1 -3
64.2	1.451	17	1 2 2